Record 1
This entry pairs a crystal structure of MgZn2P2O8 with its calculated X-ray diffraction stick pattern. Radiation: Cu Kα. Structure: a cell relaxed with PBE.
No peak broadening, texture or thermal motion is included.

Crystal structure
```
MgZn2P2O8
1.0
5.065 0.000 0.000
0.000 8.296 0.000
-4.436 0.000 7.458
Mg Zn P O
2 4 4 16
direct
0.000 0.000 0.000
0.000 0.500 0.500
0.031 0.139 0.621
0.031 0.361 0.121
0.969 0.639 0.879
0.969 0.861 0.379
0.346 0.693 0.305
0.346 0.807 0.805
0.654 0.193 0.195
0.654 0.307 0.695
0.197 0.636 0.746
0.197 0.864 0.246
0.202 0.578 0.141
0.202 0.922 0.641
0.277 0.634 0.448
0.277 0.866 0.948
0.304 0.195 0.120
0.304 0.305 0.620
0.696 0.695 0.380
0.696 0.805 0.880
0.723 0.134 0.052
0.723 0.366 0.552
0.798 0.078 0.359
0.798 0.422 0.859
0.803 0.136 0.754
0.803 0.364 0.254
```

Main lines, low angle first (2θ from 15° to 90°):
| two_theta | I (rel.) |
| --- | --- |
| 20.40 | 51 |
| 20.60 | 43 |
| 22.08 | 16 |
| 23.07 | 18 |
| 26.20 | 100 |
| 27.84 | 25 |
| 35.57 | 16 |
| 35.96 | 34 |
| 37.07 | 29 |
| 40.57 | 13 |
| 43.67 | 21 |
| 44.58 | 20 |


Record 2
This entry pairs a crystal structure of MgZrPO with its calculated X-ray diffraction stick pattern. Radiation: Cu Kα. Structure: a cell relaxed with PBE.
No peak broadening, texture or thermal motion is included.

Crystal structure
```
MgZrPO
1.0
3.560 0.000 0.000
0.000 6.098 0.000
0.000 0.000 6.178
Mg Zr P O
2 2 2 2
direct
0.000 0.111 0.000
0.000 0.889 0.500
0.500 0.472 0.662
0.500 0.528 0.162
0.000 0.288 0.390
0.000 0.712 0.890
0.500 0.245 0.925
0.500 0.755 0.425
```

Main lines, low angle first (2θ from 15° to 90°):
| two_theta | I (rel.) |
| --- | --- |
| 29.04 | 100 |
| 32.50 | 89 |
| 32.75 | 22 |
| 38.59 | 60 |
| 38.89 | 36 |
| 41.43 | 59 |
| 41.62 | 66 |
| 49.17 | 27 |
| 51.32 | 24 |
| 54.01 | 33 |
| 62.03 | 31 |
| 68.12 | 25 |


Record 3
This entry pairs a crystal structure of MgPd3O4 with its calculated X-ray diffraction stick pattern. Radiation: Cu Kα. Structure: a cell relaxed with PBE.
No peak broadening, texture or thermal motion is included.

Crystal structure
```
MgPd3O4
1.0
5.728 0.000 0.000
0.000 5.728 0.000
0.000 0.000 5.728
Mg Pd O
2 6 8
direct
0.000 0.000 0.000
0.500 0.500 0.500
0.000 0.250 0.500
0.000 0.750 0.500
0.250 0.500 0.000
0.500 0.000 0.250
0.500 0.000 0.750
0.750 0.500 0.000
0.250 0.250 0.250
0.250 0.250 0.750
0.250 0.750 0.250
0.250 0.750 0.750
0.750 0.250 0.250
0.750 0.250 0.750
0.750 0.750 0.250
0.750 0.750 0.750
```

Main lines, low angle first (2θ from 15° to 90°):
| two_theta | I (rel.) |
| --- | --- |
| 21.95 | 24 |
| 31.23 | 3 |
| 35.03 | 100 |
| 38.50 | 29 |
| 50.38 | 5 |
| 55.58 | 23 |
| 58.06 | 23 |
| 60.48 | 15 |
| 65.15 | 14 |
| 76.17 | 20 |
| 78.30 | 3 |
| 86.68 | 3 |


Record 4
This entry pairs a crystal structure of MgPdSO with its calculated X-ray diffraction stick pattern. Radiation: Cu Kα. Structure: a cell relaxed with PBE.
No peak broadening, texture or thermal motion is included.

Crystal structure
```
MgPdSO
1.0
1.696 -5.941 0.000
1.696 5.941 0.000
0.000 0.000 5.874
Mg Pd S O
2 2 2 2
direct
0.201 0.799 0.500
0.799 0.201 0.000
0.496 0.504 0.682
0.504 0.496 0.182
0.125 0.875 0.930
0.875 0.125 0.430
0.378 0.622 0.937
0.622 0.378 0.437
```

Main lines, low angle first (2θ from 15° to 90°):
| two_theta | I (rel.) |
| --- | --- |
| 27.34 | 76 |
| 34.05 | 80 |
| 34.82 | 100 |
| 38.14 | 19 |
| 41.37 | 96 |
| 43.32 | 61 |
| 46.66 | 19 |
| 46.91 | 30 |
| 54.06 | 22 |
| 56.74 | 32 |
| 65.46 | 33 |
| 71.68 | 27 |


Record 5
This entry pairs a crystal structure of MgPdSO with its calculated X-ray diffraction stick pattern. Radiation: Cu Kα. Structure: a cell relaxed with PBE.
No peak broadening, texture or thermal motion is included.

Crystal structure
```
MgPdSO
1.0
1.436 -7.370 0.000
1.436 7.370 0.000
0.000 0.000 5.294
Mg Pd S O
2 2 2 2
direct
0.025 0.975 0.750
0.975 0.025 0.250
0.329 0.671 0.750
0.671 0.329 0.250
0.302 0.698 0.250
0.698 0.302 0.750
0.500 0.500 0.000
0.500 0.500 0.500
```

Main lines, low angle first (2θ from 15° to 90°):
| two_theta | I (rel.) |
| --- | --- |
| 20.66 | 71 |
| 29.53 | 52 |
| 31.74 | 19 |
| 33.86 | 61 |
| 36.08 | 69 |
| 36.23 | 89 |
| 36.58 | 49 |
| 44.02 | 23 |
| 47.41 | 18 |
| 50.43 | 100 |
| 50.70 | 24 |
| 56.95 | 26 |


Record 6
This entry pairs a crystal structure of MgTePdO with its calculated X-ray diffraction stick pattern. Radiation: Cu Kα. Structure: a cell relaxed with PBE.
No peak broadening, texture or thermal motion is included.

Crystal structure
```
MgTePdO
1.0
8.238 0.000 0.000
0.000 2.824 2.823
0.000 -2.824 2.823
Mg Te Pd O
2 2 2 2
direct
0.000 0.000 0.000
0.000 0.500 0.500
0.359 0.497 0.997
0.641 0.997 0.497
0.320 0.997 0.497
0.680 0.497 0.997
0.033 0.000 0.500
0.967 0.500 0.000
```

Main lines, low angle first (2θ from 15° to 90°):
| two_theta | I (rel.) |
| --- | --- |
| 31.69 | 100 |
| 32.61 | 60 |
| 33.55 | 62 |
| 38.66 | 25 |
| 45.42 | 54 |
| 46.11 | 56 |
| 55.20 | 18 |
| 57.03 | 46 |
| 66.19 | 17 |
| 75.24 | 15 |
| 75.75 | 19 |
| 84.43 | 19 |


Record 7
This entry pairs a crystal structure of PmMgO3 with its calculated X-ray diffraction stick pattern. Radiation: Cu Kα. Structure: a cell relaxed with PBE.
No peak broadening, texture or thermal motion is included.

Crystal structure
```
PmMgO3
1.0
3.832 0.000 0.000
0.000 3.832 0.000
0.000 0.000 3.848
Pm Mg O
1 1 3
direct
0.000 0.000 0.000
0.500 0.500 0.500
0.000 0.500 0.500
0.500 0.000 0.500
0.500 0.500 0.000
```

Main lines, low angle first (2θ from 15° to 90°):
| two_theta | I (rel.) |
| --- | --- |
| 23.18 | 53 |
| 33.01 | 100 |
| 40.73 | 44 |
| 47.24 | 12 |
| 47.45 | 23 |
| 53.28 | 8 |
| 53.44 | 16 |
| 58.87 | 13 |
| 59.00 | 26 |
| 69.20 | 14 |
| 79.00 | 11 |
| 83.67 | 10 |


Record 8
This entry pairs a crystal structure of Pr2Mg2O5 with its calculated X-ray diffraction stick pattern. Radiation: Cu Kα. Structure: a cell relaxed with PBE.
No peak broadening, texture or thermal motion is included.

Crystal structure
```
Pr2Mg2O5
1.0
4.041 0.000 0.000
0.000 4.041 0.000
0.000 0.000 9.217
Pr Mg O
2 2 5
direct
0.000 0.000 0.237
0.000 0.000 0.763
0.500 0.500 0.000
0.500 0.500 0.500
0.000 0.000 0.500
0.000 0.500 0.134
0.000 0.500 0.866
0.500 0.000 0.134
0.500 0.000 0.866
```

Main lines, low angle first (2θ from 15° to 90°):
| two_theta | I (rel.) |
| --- | --- |
| 19.26 | 33 |
| 22.00 | 65 |
| 29.40 | 100 |
| 31.31 | 35 |
| 37.02 | 23 |
| 44.86 | 27 |
| 45.30 | 17 |
| 49.24 | 12 |
| 50.50 | 14 |
| 50.91 | 33 |
| 54.54 | 36 |
| 87.24 | 13 |


Record 9
This entry pairs a crystal structure of Pr3Mg2Sb3O14 with its calculated X-ray diffraction stick pattern. Radiation: Cu Kα. Structure: a cell relaxed with PBE.
No peak broadening, texture or thermal motion is included.

Crystal structure
```
Pr3Mg2Sb3O14
1.0
3.727 2.152 5.863
-3.727 2.152 5.863
0.000 -4.303 5.863
Pr Mg Sb O
3 2 3 14
direct
0.000 0.500 0.500
0.500 0.000 0.500
0.500 0.500 0.000
0.000 0.000 0.000
0.500 0.500 0.500
0.000 0.000 0.500
0.000 0.500 0.000
0.500 0.000 0.000
0.082 0.677 0.677
0.086 0.086 0.658
0.086 0.658 0.086
0.323 0.323 0.918
0.323 0.918 0.323
0.342 0.914 0.914
0.388 0.388 0.388
0.612 0.612 0.612
0.658 0.086 0.086
0.677 0.082 0.677
0.677 0.677 0.082
0.914 0.342 0.914
0.914 0.914 0.342
0.918 0.323 0.323
```

Main lines, low angle first (2θ from 15° to 90°):
| two_theta | I (rel.) |
| --- | --- |
| 17.04 | 23 |
| 23.88 | 12 |
| 29.48 | 100 |
| 30.49 | 30 |
| 34.47 | 39 |
| 48.88 | 34 |
| 50.21 | 29 |
| 58.12 | 15 |
| 58.71 | 27 |
| 59.89 | 14 |
| 61.18 | 10 |
| 79.29 | 12 |


Record 10
This entry pairs a crystal structure of Mg2Pt2O5 with its calculated X-ray diffraction stick pattern. Radiation: Cu Kα. Structure: a cell relaxed with PBE.
No peak broadening, texture or thermal motion is included.

Crystal structure
```
Mg2Pt2O5
1.0
3.909 0.000 0.000
0.000 3.909 0.000
0.000 0.000 6.727
Mg Pt O
2 2 5
direct
0.000 0.000 0.000
0.000 0.000 0.500
0.500 0.500 0.188
0.500 0.500 0.812
0.000 0.500 0.242
0.000 0.500 0.758
0.500 0.000 0.242
0.500 0.000 0.758
0.500 0.500 0.500
```

Main lines, low angle first (2θ from 15° to 90°):
| two_theta | I (rel.) |
| --- | --- |
| 22.75 | 100 |
| 26.37 | 19 |
| 26.50 | 21 |
| 32.39 | 50 |
| 35.19 | 61 |
| 46.46 | 33 |
| 46.70 | 34 |
| 52.33 | 22 |
| 52.55 | 23 |
| 54.26 | 17 |
| 59.60 | 23 |
| 68.00 | 22 |


Record 11
This entry pairs a crystal structure of MgTePtO with its calculated X-ray diffraction stick pattern. Radiation: Cu Kα. Structure: a cell relaxed with PBE.
No peak broadening, texture or thermal motion is included.

Crystal structure
```
MgTePtO
1.0
5.673 0.000 0.000
0.000 8.133 0.000
0.000 0.000 5.675
Mg Te Pt O
4 4 4 4
direct
0.250 0.005 0.000
0.250 0.005 0.500
0.750 0.995 0.000
0.750 0.995 0.500
0.001 0.644 0.253
0.499 0.644 0.753
0.501 0.356 0.253
0.999 0.356 0.753
0.000 0.323 0.253
0.000 0.677 0.753
0.500 0.323 0.753
0.500 0.677 0.253
0.001 0.969 0.750
0.499 0.969 0.250
0.501 0.031 0.750
0.999 0.031 0.250
```

Main lines, low angle first (2θ from 15° to 90°):
| two_theta | I (rel.) |
| --- | --- |
| 24.74 | 23 |
| 31.54 | 100 |
| 33.04 | 55 |
| 33.45 | 53 |
| 38.70 | 30 |
| 45.20 | 50 |
| 46.32 | 61 |
| 57.12 | 45 |
| 65.84 | 16 |
| 74.84 | 16 |
| 75.67 | 19 |
| 84.27 | 22 |


Record 12
This entry pairs a crystal structure of Sm3Mg2Sb3O14 with its calculated X-ray diffraction stick pattern. Radiation: Cu Kα. Structure: a cell relaxed with PBE.
No peak broadening, texture or thermal motion is included.

Crystal structure
```
Sm3Mg2Sb3O14
1.0
3.693 2.132 5.808
-3.693 2.132 5.808
0.000 -4.265 5.808
Sm Mg Sb O
3 2 3 14
direct
0.000 0.500 0.500
0.500 0.000 0.500
0.500 0.500 0.000
0.000 0.000 0.000
0.500 0.500 0.500
0.000 0.000 0.500
0.000 0.500 0.000
0.500 0.000 0.000
0.083 0.675 0.675
0.088 0.088 0.656
0.088 0.656 0.088
0.325 0.325 0.917
0.325 0.917 0.325
0.344 0.912 0.912
0.386 0.386 0.386
0.614 0.614 0.614
0.656 0.088 0.088
0.675 0.083 0.675
0.675 0.675 0.083
0.912 0.344 0.912
0.912 0.912 0.344
0.917 0.325 0.325
```

Main lines, low angle first (2θ from 15° to 90°):
| two_theta | I (rel.) |
| --- | --- |
| 17.20 | 24 |
| 24.10 | 13 |
| 29.75 | 100 |
| 30.79 | 31 |
| 34.80 | 39 |
| 49.35 | 34 |
| 50.71 | 29 |
| 58.69 | 15 |
| 59.30 | 27 |
| 60.51 | 13 |
| 61.80 | 10 |
| 80.15 | 12 |